# 1
Structure and theoretical PXRD pattern of Pr3Ge (a structure optimized by DFT (GGA-PBE); CuKα).
Kinematic intensities with the Lorentz-polarization factor, no thermal factor.

Peak list (6 most intense, 10 to 80 degrees two-theta, in order of rising 2θ)
2θ/deg	I_rel
29.4	100
30.2	34
30.5	68
31.9	70
32.7	79
36.8	41

Structure:
Lattice parameters (Å, degrees): 12.5703 12.5703 6.1984 90.00 90.00 90.00
Element x y z (fractional)
Pr 0.0292 0.9273 0.2432
Pr 0.0727 0.5292 0.7432
Pr 0.1136 0.2823 0.0166
Pr 0.1357 0.8322 0.7299
Pr 0.1678 0.6357 0.2299
Pr 0.2177 0.1136 0.4834
Pr 0.2823 0.3864 0.4834
Pr 0.3322 0.8643 0.2299
Pr 0.3643 0.6678 0.7299
Pr 0.3864 0.2177 0.0166
Pr 0.4273 0.9708 0.7432
Pr 0.4708 0.5727 0.2432
Pr 0.5292 0.4273 0.7568
Pr 0.5727 0.0292 0.2568
Pr 0.6136 0.7823 0.9834
Pr 0.6357 0.3322 0.2701
Pr 0.6678 0.1357 0.7701
Pr 0.7177 0.6136 0.5166
Pr 0.7823 0.8864 0.5166
Pr 0.8322 0.3643 0.7701
Pr 0.8643 0.1678 0.2701
Pr 0.8864 0.7177 0.9834
Pr 0.9273 0.4708 0.2568
Pr 0.9708 0.0727 0.7568
Ge 0.0473 0.2936 0.5271
Ge 0.2064 0.0473 0.9729
Ge 0.2936 0.4527 0.9729
Ge 0.4527 0.2064 0.5271
Ge 0.5473 0.7936 0.4729
Ge 0.7064 0.5473 0.0271
Ge 0.7936 0.9527 0.0271
Ge 0.9527 0.7064 0.4729

# 2
Structure and theoretical PXRD pattern of Nd2DyNbO6 (a structure optimized by DFT (GGA-PBE); CuKα).
Kinematic intensities with the Lorentz-polarization factor, no thermal factor.

Peak list (6 most intense, 10 to 80 degrees two-theta, in order of rising 2θ)
2θ/deg	I_rel
30.5	100
31.4	58
42.4	17
45.0	24
53.7	25
55.3	46

Structure:
Lattice parameters (Å, degrees): 5.8686 5.8686 5.8686 121.87 121.87 86.79
Element x y z (fractional)
Nd 0.2500 0.7500 0.5000
Nd 0.7500 0.2500 0.5000
Dy 0.0000 0.0000 0.0000
Nb 0.5000 0.5000 0.0000
O 0.1737 0.3466 0.5203
O 0.2557 0.2557 0.0000
O 0.3466 0.8263 0.1729
O 0.6534 0.1737 0.8271
O 0.7443 0.7443 0.0000
O 0.8263 0.6534 0.4797